1.
Sm3Dy2Hg2: computed powder diffractogram (CuKα), based on a DFT-relaxed cell (PBE, Alexandria).
Kinematic intensities with the Lorentz-polarization factor, no thermal factor.

Cell and atoms:
a b c (Å): 5.4187 5.4187 24.0100
angles (deg): 90.00 90.00 120.00
Space group R-3m (No. 166, hexagonal axes)
Symmetry-distinct sites (fractional):
Sm  0.0000  0.0000  0.0000 (multiplicity 3)
Sm  0.0000  0.0000  0.1585 (multiplicity 6)
Dy  0.0000  0.0000  0.4253 (multiplicity 6)
Hg  0.0000  0.0000  0.2878 (multiplicity 6)

Top 8 peaks for 5° ≤ 2θ ≤ 70°, in order of rising 2θ:
(1 0 7), 2θ = 32.33°, 2.769 Å, intensity 93; (1 1 0), 2θ = 33.06°, 2.709 Å, intensity 100; (0 2 7), 2θ = 46.92°, 1.937 Å, intensity 33; (0 1 14), 2θ = 57.19°, 1.611 Å, intensity 15; (2 1 7), 2θ = 58.59°, 1.575 Å, intensity 35; (3 0 0), 2θ = 59.06°, 1.564 Å, intensity 19; (2 0 14), 2θ = 67.67°, 1.385 Å, intensity 8; (2 2 0), 2θ = 69.37°, 1.355 Å, intensity 12

=====

2.
SmDy3Hg: computed powder diffractogram (CuKα), based on a DFT-relaxed cell (PBE, Alexandria).
Kinematic intensities with the Lorentz-polarization factor, no thermal factor.

Cell and atoms:
a b c (Å): 11.2482 7.3817 7.9343
angles (deg): 90.00 110.65 90.00
Space group C2/m (No. 12)
Symmetry-distinct sites (fractional):
Sm  0.0600  0.0000  0.2379 (multiplicity 4)
Dy  0.0617  0.5000  0.2427 (multiplicity 4)
Dy  0.1599  0.2505  0.6415 (multiplicity 8)
Hg  0.2429  0.5000  0.0003 (multiplicity 4)

Top 8 peaks for 5° ≤ 2θ ≤ 70°, in order of rising 2θ:
(0 2 1), 2θ = 26.98°, 3.305 Å, intensity 32; (4 0 -1), 2θ = 31.82°, 2.812 Å, intensity 41; (2 0 -3), 2θ = 34.14°, 2.626 Å, intensity 50; (2 2 1), 2θ = 34.24°, 2.619 Å, intensity 100; (0 2 4), 2θ = 55.41°, 1.658 Å, intensity 17; (6 2 0), 2θ = 58.20°, 1.585 Å, intensity 16; (6 0 -4), 2θ = 58.28°, 1.583 Å, intensity 18; (2 4 -3), 2θ = 61.40°, 1.510 Å, intensity 18

=====

3.
Sm2Dy4Hg: computed powder diffractogram (CuKα), based on a DFT-relaxed cell (PBE, Alexandria).
Kinematic intensities with the Lorentz-polarization factor, no thermal factor.

Cell and atoms:
a b c (Å): 16.8280 3.6111 8.1206
angles (deg): 90.00 116.95 90.00
Space group C2/m (No. 12)
Symmetry-distinct sites (fractional):
Sm  0.2120  0.0000  0.1279 (multiplicity 4)
Dy  0.0576  0.5000  0.7390 (multiplicity 4)
Dy  0.1439  0.0000  0.4711 (multiplicity 4)
Hg  0.0000  0.0000  0.0000 (multiplicity 2)

Top 8 peaks for 5° ≤ 2θ ≤ 70°, in order of rising 2θ:
(1 1 -1), 2θ = 27.03°, 3.299 Å, intensity 46; (3 1 -1), 2θ = 29.73°, 3.005 Å, intensity 47; (4 0 1), 2θ = 31.45°, 2.845 Å, intensity 99; (6 0 -2), 2θ = 33.05°, 2.710 Å, intensity 69; (2 0 -3), 2θ = 33.46°, 2.678 Å, intensity 64; (1 1 -2), 2θ = 33.63°, 2.665 Å, intensity 100; (5 1 -1), 2θ = 36.51°, 2.461 Å, intensity 65; (3 1 3), 2θ = 55.39°, 1.659 Å, intensity 35

=====

4.
SmDyHg6: computed powder diffractogram (CuKα), based on a DFT-relaxed cell (PBE, Alexandria).
Kinematic intensities with the Lorentz-polarization factor, no thermal factor.

Cell and atoms:
a b c (Å): 5.0280 6.7481 11.5244
angles (deg): 90.00 90.00 90.00
Space group Amm2 (No. 38)
Symmetry-distinct sites (fractional):
Sm  0.0000  0.0000  0.0000 (multiplicity 2)
Dy  0.5000  0.0000  0.3225 (multiplicity 2)
Hg  0.0000  0.0000  0.4913 (multiplicity 2)
Hg  0.0000  0.2455  0.7465 (multiplicity 4)
Hg  0.5000  0.0000  0.8283 (multiplicity 2)
Hg  0.5000  0.2411  0.5777 (multiplicity 4)

Top 8 peaks for 5° ≤ 2θ ≤ 70°, in order of rising 2θ:
(0 2 2), 2θ = 30.71°, 2.912 Å, intensity 17; (2 0 0), 2θ = 35.65°, 2.518 Å, intensity 100; (1 0 4), 2θ = 35.92°, 2.500 Å, intensity 35; (2 2 2), 2θ = 47.80°, 1.903 Å, intensity 10; (0 2 6), 2θ = 55.01°, 1.669 Å, intensity 14; (3 2 2), 2θ = 64.11°, 1.453 Å, intensity 14; (1 4 4), 2θ = 66.91°, 1.398 Å, intensity 12; (2 2 6), 2θ = 67.34°, 1.391 Å, intensity 16

=====

5.
Sm3DyHg7: computed powder diffractogram (CuKα), based on a DFT-relaxed cell (PBE, Alexandria).
Kinematic intensities with the Lorentz-polarization factor, no thermal factor.

Cell and atoms:
a b c (Å): 3.5529 21.3997 15.7031
angles (deg): 90.00 90.00 90.00
Space group Cmcm (No. 63)
Symmetry-distinct sites (fractional):
Sm  0.0000  0.1167  0.0154 (multiplicity 8)
Sm  0.0000  0.2361  0.7500 (multiplicity 4)
Dy  0.0000  0.0153  0.7500 (multiplicity 4)
Hg  0.0000  0.2535  0.0798 (multiplicity 8)
Hg  0.0000  0.3776  0.1572 (multiplicity 8)
Hg  0.0000  0.3852  0.7500 (multiplicity 4)
Hg  0.0000  0.4937  0.5912 (multiplicity 8)

Top 8 peaks for 5° ≤ 2θ ≤ 70°, in order of rising 2θ:
(1 3 2), 2θ = 30.32°, 2.948 Å, intensity 76; (1 1 3), 2θ = 30.70°, 2.912 Å, intensity 91; (0 8 0), 2θ = 33.50°, 2.675 Å, intensity 100; (1 1 4), 2θ = 34.29°, 2.615 Å, intensity 65; (1 5 2), 2θ = 34.75°, 2.582 Å, intensity 95; (0 4 6), 2θ = 38.29°, 2.351 Å, intensity 91; (1 7 3), 2θ = 42.67°, 2.119 Å, intensity 47; (2 4 6), 2θ = 65.89°, 1.418 Å, intensity 50

=====

6.
SmDy2ThHg4: computed powder diffractogram (CuKα), based on a DFT-relaxed cell (PBE, Alexandria).
Kinematic intensities with the Lorentz-polarization factor, no thermal factor.

Cell and atoms:
a b c (Å): 5.3296 5.3296 26.1670
angles (deg): 90.00 90.00 120.00
Space group R-3m (No. 166, hexagonal axes)
Symmetry-distinct sites (fractional):
Sm  0.0000  0.0000  0.0000 (multiplicity 3)
Dy  0.0000  0.0000  0.2491 (multiplicity 6)
Th  0.0000  0.0000  0.5000 (multiplicity 3)
Hg  0.0000  0.0000  0.1234 (multiplicity 6)
Hg  0.0000  0.0000  0.3735 (multiplicity 6)

Top 5 peaks for 5° ≤ 2θ ≤ 70°, in order of rising 2θ:
(1 0 4), 2θ = 23.59°, 3.771 Å, intensity 1; (1 1 0), 2θ = 33.61°, 2.667 Å, intensity 100; (2 0 8), 2θ = 48.26°, 1.886 Å, intensity 18; (1 2 8), 2θ = 60.08°, 1.540 Å, intensity 29; (3 0 0), 2θ = 60.14°, 1.539 Å, intensity 10

=====

7.
Sm2DyTl2Hg2: computed powder diffractogram (CuKα), based on a DFT-relaxed cell (PBE, Alexandria).
Kinematic intensities with the Lorentz-polarization factor, no thermal factor.

Cell and atoms:
a b c (Å): 5.0125 5.0125 26.8632
angles (deg): 90.00 90.00 120.00
Space group R-3m (No. 166, hexagonal axes)
Symmetry-distinct sites (fractional):
Sm  0.0000  0.0000  0.1328 (multiplicity 6)
Dy  0.0000  0.0000  0.0000 (multiplicity 3)
Tl  0.0000  0.0000  0.2760 (multiplicity 6)
Hg  0.0000  0.0000  0.4313 (multiplicity 6)

Top 8 peaks for 5° ≤ 2θ ≤ 70°, in order of rising 2θ:
(0 0 6), 2θ = 19.83°, 4.477 Å, intensity 7; (1 0 7), 2θ = 31.11°, 2.875 Å, intensity 100; (1 1 0), 2θ = 35.83°, 2.506 Å, intensity 77; (0 2 7), 2θ = 48.17°, 1.889 Å, intensity 30; (0 1 14), 2θ = 52.11°, 1.755 Å, intensity 17; (2 1 7), 2θ = 61.46°, 1.509 Å, intensity 29; (3 0 0), 2θ = 64.39°, 1.447 Å, intensity 14; (2 0 14), 2θ = 64.86°, 1.438 Å, intensity 9

=====

8.
SmDyTlHg: computed powder diffractogram (CuKα), based on a DFT-relaxed cell (PBE, Alexandria).
Kinematic intensities with the Lorentz-polarization factor, no thermal factor.

Cell and atoms:
a b c (Å): 3.7889 3.7889 7.6245
angles (deg): 90.00 90.00 90.00
Space group P4mm (No. 99)
Symmetry-distinct sites (fractional):
Sm  0.0000  0.0000  0.0000 (multiplicity 1)
Dy  0.0000  0.0000  0.4818 (multiplicity 1)
Tl  0.5000  0.5000  0.7348 (multiplicity 1)
Hg  0.5000  0.5000  0.2544 (multiplicity 1)

Top 8 peaks for 5° ≤ 2θ ≤ 70°, in order of rising 2θ:
(1 0 0), 2θ = 23.48°, 3.789 Å, intensity 2; (1 0 2), 2θ = 33.34°, 2.687 Å, intensity 100; (1 1 0), 2θ = 33.45°, 2.679 Å, intensity 50; (1 1 2), 2θ = 41.18°, 2.192 Å, intensity 1; (0 0 4), 2θ = 47.71°, 1.906 Å, intensity 9; (2 0 0), 2θ = 48.03°, 1.894 Å, intensity 18; (1 1 4), 2θ = 59.52°, 1.553 Å, intensity 18; (2 1 2), 2θ = 59.72°, 1.548 Å, intensity 38

=====

9.
Dy8Sn2Hg: computed powder diffractogram (CuKα), based on a DFT-relaxed cell (PBE, Alexandria).
Kinematic intensities with the Lorentz-polarization factor, no thermal factor.

Cell and atoms:
a b c (Å): 19.3700 5.0679 6.7873
angles (deg): 90.00 103.90 90.00
Space group C2/m (No. 12)
Symmetry-distinct sites (fractional):
Dy  0.0202  0.0000  0.2707 (multiplicity 4)
Dy  0.0934  0.5000  0.9768 (multiplicity 4)
Dy  0.1558  0.5000  0.5005 (multiplicity 4)
Dy  0.2155  0.0000  0.8229 (multiplicity 4)
Sn  0.1815  0.0000  0.2588 (multiplicity 4)
Hg  0.0000  0.5000  0.5000 (multiplicity 2)

Top 8 peaks for 5° ≤ 2θ ≤ 70°, in order of rising 2θ:
(6 0 -1), 2θ = 28.46°, 3.136 Å, intensity 35; (5 1 0), 2θ = 29.58°, 3.020 Å, intensity 44; (1 1 -2), 2θ = 31.78°, 2.815 Å, intensity 100; (1 1 2), 2θ = 33.74°, 2.657 Å, intensity 36; (6 0 1), 2θ = 34.50°, 2.599 Å, intensity 26; (5 1 1), 2θ = 34.99°, 2.564 Å, intensity 23; (0 2 0), 2θ = 35.42°, 2.534 Å, intensity 64; (7 1 -1), 2θ = 37.45°, 2.402 Å, intensity 37

=====

10.
SrDyTlHg: computed powder diffractogram (CuKα), based on a DFT-relaxed cell (PBE, Alexandria).
Kinematic intensities with the Lorentz-polarization factor, no thermal factor.

Cell and atoms:
a b c (Å): 3.8491 3.8491 7.9834
angles (deg): 90.00 90.00 90.00
Space group P4mm (No. 99)
Symmetry-distinct sites (fractional):
Sr  0.0000  0.0000  0.0000 (multiplicity 1)
Dy  0.0000  0.0000  0.5186 (multiplicity 1)
Tl  0.5000  0.5000  0.2810 (multiplicity 1)
Hg  0.5000  0.5000  0.7270 (multiplicity 1)

Top 8 peaks for 5° ≤ 2θ ≤ 70°, in order of rising 2θ:
(0 0 1), 2θ = 11.08°, 7.983 Å, intensity 15; (1 0 2), 2θ = 32.31°, 2.771 Å, intensity 100; (1 1 0), 2θ = 32.91°, 2.722 Å, intensity 52; (1 0 3), 2θ = 41.24°, 2.189 Å, intensity 9; (2 0 0), 2θ = 47.23°, 1.925 Å, intensity 19; (1 1 4), 2θ = 57.24°, 1.609 Å, intensity 16; (2 1 2), 2θ = 58.38°, 1.581 Å, intensity 38; (2 0 4), 2θ = 67.62°, 1.385 Å, intensity 9

=====

11.
Tb2Dy3Hg2: computed powder diffractogram (CuKα), based on a DFT-relaxed cell (PBE, Alexandria).
Kinematic intensities with the Lorentz-polarization factor, no thermal factor.

Cell and atoms:
a b c (Å): 3.5766 31.8947 3.5661
angles (deg): 90.00 90.00 90.00
Space group Cmmm (No. 65)
Symmetry-distinct sites (fractional):
Tb  0.0000  0.2032  0.0000 (multiplicity 4)
Dy  0.0000  0.3748  0.5000 (multiplicity 4)
Dy  0.0000  0.5000  0.5000 (multiplicity 2)
Hg  0.0000  0.0620  0.0000 (multiplicity 4)

Top 8 peaks for 5° ≤ 2θ ≤ 70°, in order of rising 2θ:
(0 2 0), 2θ = 5.54°, 15.947 Å, intensity 55; (1 7 0), 2θ = 31.81°, 2.813 Å, intensity 80; (0 8 1), 2θ = 33.72°, 2.658 Å, intensity 85; (1 1 1), 2θ = 35.66°, 2.517 Å, intensity 100; (2 0 0), 2θ = 51.07°, 1.788 Å, intensity 14; (1 15 1), 2θ = 56.58°, 1.627 Å, intensity 33; (1 7 2), 2θ = 61.58°, 1.506 Å, intensity 29; (2 8 1), 2θ = 62.61°, 1.484 Å, intensity 29

=====

12.
Tb5DyHg3: computed powder diffractogram (CuKα), based on a DFT-relaxed cell (PBE, Alexandria).
Kinematic intensities with the Lorentz-polarization factor, no thermal factor.

Cell and atoms:
a b c (Å): 9.1154 9.1154 6.9463
angles (deg): 90.00 90.00 120.00
Space group P6_3/mcm (No. 193)
Symmetry-distinct sites (fractional):
Tb  0.0000  0.3332  0.2500 (multiplicity 6)
Tb  0.3333  0.6667  0.0000 (multiplicity 4)
Dy  0.0000  0.0000  0.0000 (multiplicity 2)
Hg  0.0000  0.3332  0.7500 (multiplicity 6)

Top 8 peaks for 5° ≤ 2θ ≤ 70°, in order of rising 2θ:
(0 0 2), 2θ = 25.65°, 3.473 Å, intensity 10; (1 1 2), 2θ = 32.41°, 2.762 Å, intensity 97; (3 0 0), 2θ = 34.07°, 2.631 Å, intensity 100; (3 0 2), 2θ = 43.13°, 2.097 Å, intensity 16; (2 2 2), 2θ = 47.73°, 1.905 Å, intensity 33; (4 1 2), 2θ = 59.94°, 1.543 Å, intensity 34; (3 3 0), 2θ = 60.99°, 1.519 Å, intensity 19; (3 0 4), 2θ = 64.27°, 1.449 Å, intensity 32

=====

13.
Tb2DyHg2: computed powder diffractogram (CuKα), based on a DFT-relaxed cell (PBE, Alexandria).
Kinematic intensities with the Lorentz-polarization factor, no thermal factor.

Cell and atoms:
a b c (Å): 3.7557 5.3056 13.7614
angles (deg): 90.00 97.88 90.00
Space group P2_1/m (No. 11)
Symmetry-distinct sites (fractional):
Tb  0.0469  0.2500  0.0941 (multiplicity 2)
Tb  0.2352  0.2500  0.4709 (multiplicity 2)
Dy  0.1465  0.7500  0.2925 (multiplicity 2)
Hg  0.3564  0.7500  0.7130 (multiplicity 2)
Hg  0.4519  0.2500  0.9028 (multiplicity 2)

Top 8 peaks for 5° ≤ 2θ ≤ 70°, in order of rising 2θ:
(0 0 5), 2θ = 32.85°, 2.726 Å, intensity 23; (1 1 2), 2θ = 33.54°, 2.672 Å, intensity 100; (0 2 0), 2θ = 33.79°, 2.653 Å, intensity 26; (0 2 5), 2θ = 47.84°, 1.901 Å, intensity 16; (2 0 -1), 2θ = 48.48°, 1.878 Å, intensity 9; (1 1 7), 2θ = 59.09°, 1.563 Å, intensity 13; (1 3 2), 2θ = 60.28°, 1.535 Å, intensity 19; (2 2 -1), 2θ = 60.39°, 1.533 Å, intensity 10

=====

14.
TbDy2Hg4: computed powder diffractogram (CuKα), based on a DFT-relaxed cell (PBE, Alexandria).
Kinematic intensities with the Lorentz-polarization factor, no thermal factor.

Cell and atoms:
a b c (Å): 5.0959 5.0959 26.0616
angles (deg): 90.00 90.00 120.00
Space group R-3m (No. 166, hexagonal axes)
Symmetry-distinct sites (fractional):
Tb  0.0000  0.0000  0.0000 (multiplicity 3)
Dy  0.0000  0.0000  0.2442 (multiplicity 6)
Hg  0.0000  0.0000  0.1265 (multiplicity 6)
Hg  0.0000  0.0000  0.3760 (multiplicity 6)

Top 8 peaks for 5° ≤ 2θ ≤ 70°, in order of rising 2θ:
(1 0 1), 2θ = 20.42°, 4.350 Å, intensity 8; (1 0 4), 2θ = 24.36°, 3.654 Å, intensity 15; (0 1 8), 2θ = 34.21°, 2.621 Å, intensity 100; (1 1 0), 2θ = 35.22°, 2.548 Å, intensity 95; (2 0 8), 2θ = 49.92°, 1.827 Å, intensity 38; (1 0 16), 2θ = 60.60°, 1.528 Å, intensity 18; (1 2 8), 2θ = 62.56°, 1.485 Å, intensity 37; (3 0 0), 2θ = 63.21°, 1.471 Å, intensity 18